For MnCoPSe, a DFT-relaxed cell (GGA-PBE, Alexandria) gives the calculated XRD peak list in this record (CuKα).

Atomic structure:
a b c (Å): 7.4137 3.2135 4.9243
angles (deg): 90.00 100.74 90.00
Fractional coordinates of all 8 atoms:
Mn 0.0000 0.0000 0.0000
Mn 0.5000 0.5000 0.0000
Co 0.2846 0.5000 0.3888
Co 0.7846 0.0000 0.3888
P 0.2994 0.0000 0.0930
P 0.7994 0.5000 0.0930
Se 0.0268 0.5000 0.6274
Se 0.5268 0.0000 0.6274

The 10 most intense peaks (2θ from 10° to 90°), most intense first:
2θ 36.95, I = 100.0, (1 1 1)
2θ 47.92, I = 67.9, (3 1 -1)
2θ 46.81, I = 44.8, (1 1 -2)
2θ 33.44, I = 40.6, (2 0 1)
2θ 27.78, I = 30.5, (2 0 -1)
2θ 50.10, I = 29.3, (4 0 0)
2θ 57.35, I = 27.6, (0 2 0)
2θ 34.48, I = 26.4, (1 1 -1)
2θ 40.75, I = 23.7, (2 0 -2)
2θ 66.13, I = 14.5, (3 1 2)